This entry pairs a crystal structure of Li2SmSc2Tl2 with its calculated powder X-ray diffraction pattern. Radiation: λ = 1.5418 Å (Cu Kα). Structure: a cell relaxed with PBE.
Neutral-atom scattering factors, no anomalous dispersion.

Structural model:
```
Li2SmSc2Tl2
1.0
2.371 1.369 8.576
-2.371 1.369 8.576
0.000 -2.738 8.576
Li Sm Sc Tl
2 1 2 2
direct
0.081 0.081 0.081 Li
0.919 0.919 0.919 Li
0.500 0.500 0.500 Sm
0.368 0.368 0.368 Sc
0.632 0.632 0.632 Sc
0.245 0.245 0.245 Tl
0.755 0.755 0.755 Tl
```

Most intense lines, 2θ = 10–80°, by angle:
2theta, intensity
10.31, 15.7
21.92, 26.8
22.73, 41.6
25.74, 100.0
32.70, 29.2
35.45, 81.6
37.95, 75.8
46.42, 21.4
52.90, 26.0
57.99, 22.6
61.45, 19.1
66.94, 25.5

***

This entry pairs a crystal structure of Li4ScSn5 with its calculated powder X-ray diffraction pattern. Radiation: λ = 1.5418 Å (Cu Kα). Structure: a cell relaxed with PBE.
Neutral-atom scattering factors, no anomalous dispersion.

Structural model:
```
Li4ScSn5
1.0
3.426 0.000 0.000
0.000 3.426 0.000
0.000 0.000 17.839
Li Sc Sn
4 1 5
direct
0.000 0.000 0.098 Li
0.000 0.000 0.291 Li
0.000 0.000 0.709 Li
0.000 0.000 0.902 Li
0.000 0.000 0.500 Sc
0.500 0.500 0.000 Sn
0.500 0.500 0.196 Sn
0.500 0.500 0.389 Sn
0.500 0.500 0.611 Sn
0.500 0.500 0.804 Sn
```

Most intense lines, 2θ = 10–80°, by angle:
2theta, intensity
24.96, 41.7
26.01, 79.9
36.36, 100.0
37.11, 49.7
45.25, 35.6
53.50, 17.9
58.32, 14.5
59.90, 16.0
60.42, 17.6
64.92, 16.4
66.41, 35.7
77.21, 10.2

***

This entry pairs a crystal structure of LiScZnSn with its calculated powder X-ray diffraction pattern. Radiation: λ = 1.5418 Å (Cu Kα). Structure: a cell relaxed with PBE.
Neutral-atom scattering factors, no anomalous dispersion.

Structural model:
```
LiScZnSn
1.0
4.016 0.000 0.000
0.000 4.327 0.000
0.000 0.000 4.412
Li Sc Zn Sn
1 1 1 1
direct
0.000 0.000 0.000 Li
0.000 0.500 0.500 Sc
0.500 0.500 0.000 Zn
0.500 0.000 0.500 Sn
```

Most intense lines, 2θ = 10–80°, by angle:
2theta, intensity
20.13, 15.6
22.14, 30.5
28.90, 32.2
30.37, 11.3
36.70, 100.0
40.91, 18.4
41.75, 17.4
45.16, 13.8
54.51, 11.6
59.88, 11.7
71.75, 13.6
72.91, 13.0

***

This entry pairs a crystal structure of LiScTa with its calculated powder X-ray diffraction pattern. Radiation: λ = 1.5418 Å (Cu Kα). Structure: a cell relaxed with PBE.
Neutral-atom scattering factors, no anomalous dispersion.

Structural model:
```
LiScTa
1.0
3.226 0.000 0.000
0.002 4.705 0.000
1.609 0.866 7.693
Li Sc Ta
2 2 2
direct
0.072 0.198 0.357 Li
0.928 0.802 0.643 Li
0.397 0.303 0.706 Sc
0.603 0.697 0.294 Sc
0.264 0.754 0.972 Ta
0.736 0.246 0.028 Ta
```

Most intense lines, 2θ = 10–80°, by angle:
2theta, intensity
11.50, 100.0
23.12, 13.2
33.89, 11.8
34.64, 15.8
34.99, 10.6
37.12, 22.2
38.51, 10.5
39.00, 8.1
39.18, 20.5
43.58, 10.1
46.57, 5.5
70.97, 6.5

***

This entry pairs a crystal structure of LiSc2Tc with its calculated powder X-ray diffraction pattern. Radiation: λ = 1.5418 Å (Cu Kα). Structure: a cell relaxed with PBE.
Neutral-atom scattering factors, no anomalous dispersion.

Structural model:
```
LiSc2Tc
1.0
6.579 0.000 0.000
0.000 6.579 0.000
0.000 0.000 6.579
Li Sc Tc
4 8 4
direct
0.000 0.000 0.000 Li
0.000 0.500 0.500 Li
0.500 0.000 0.500 Li
0.500 0.500 0.000 Li
0.250 0.250 0.250 Sc
0.250 0.250 0.750 Sc
0.250 0.750 0.250 Sc
0.250 0.750 0.750 Sc
0.750 0.250 0.250 Sc
0.750 0.250 0.750 Sc
0.750 0.750 0.250 Sc
0.750 0.750 0.750 Sc
0.000 0.000 0.500 Tc
0.000 0.500 0.000 Tc
0.500 0.000 0.000 Tc
0.500 0.500 0.500 Tc
```

Most intense lines, 2θ = 10–80°, by angle:
2theta, intensity
23.42, 61.3
27.11, 0.8
38.71, 100.0
45.74, 29.7
55.91, 16.1
61.43, 12.0
63.21, 0.6
70.07, 31.4
75.02, 8.8

***

This entry pairs a crystal structure of LiSc2Te with its calculated powder X-ray diffraction pattern. Radiation: λ = 1.5418 Å (Cu Kα). Structure: a cell relaxed with PBE.
Neutral-atom scattering factors, no anomalous dispersion.

Structural model:
```
LiSc2Te
1.0
3.831 0.000 0.000
0.000 3.831 0.000
0.000 0.000 6.163
Li Sc Te
1 2 1
direct
0.000 0.000 0.000 Li
0.000 0.000 0.516 Sc
0.500 0.500 0.248 Sc
0.500 0.500 0.740 Te
```

Most intense lines, 2θ = 10–80°, by angle:
2theta, intensity
14.37, 50.9
23.22, 52.6
27.41, 31.8
28.98, 15.8
33.07, 72.3
36.23, 21.5
37.46, 100.0
44.54, 19.3
47.47, 25.1
53.49, 10.7
61.98, 42.9
70.29, 13.8

***

This entry pairs a crystal structure of LiSc2TlTe4 with its calculated powder X-ray diffraction pattern. Radiation: λ = 1.5418 Å (Cu Kα). Structure: a cell relaxed with PBE.
Neutral-atom scattering factors, no anomalous dispersion.

Structural model:
```
LiSc2TlTe4
1.0
2.136 -7.181 0.000
2.136 7.181 0.000
0.000 0.000 15.216
Li Sc Tl Te
2 4 2 8
direct
0.170 0.830 0.750 Li
0.830 0.170 0.250 Li
0.369 0.631 0.066 Sc
0.369 0.631 0.434 Sc
0.631 0.369 0.566 Sc
0.631 0.369 0.934 Sc
0.117 0.883 0.250 Tl
0.883 0.117 0.750 Tl
0.000 0.000 0.000 Te
0.000 0.000 0.500 Te
0.267 0.733 0.602 Te
0.267 0.733 0.898 Te
0.438 0.562 0.250 Te
0.562 0.438 0.750 Te
0.733 0.267 0.102 Te
0.733 0.267 0.398 Te
```

Most intense lines, 2θ = 10–80°, by angle:
2theta, intensity
26.52, 59.9
27.47, 29.8
28.00, 68.0
28.61, 100.0
30.40, 60.3
36.79, 21.0
41.00, 18.5
41.73, 24.0
41.88, 19.3
42.31, 28.1
50.63, 20.0
50.85, 31.0

***

This entry pairs a crystal structure of Li3Tm3ScTe8 with its calculated powder X-ray diffraction pattern. Radiation: λ = 1.5418 Å (Cu Kα). Structure: a cell relaxed with PBE.
Neutral-atom scattering factors, no anomalous dispersion.

Structural model:
```
Li3Tm3ScTe8
1.0
4.233 2.444 7.082
-4.233 2.444 7.082
0.000 -4.888 7.082
Li Tm Sc Te
3 3 1 8
direct
0.000 0.500 0.500 Li
0.500 0.000 0.500 Li
0.500 0.500 0.000 Li
0.000 0.000 0.500 Tm
0.000 0.500 0.000 Tm
0.500 0.000 0.000 Tm
0.500 0.500 0.500 Sc
0.252 0.252 0.252 Te
0.254 0.254 0.743 Te
0.254 0.743 0.254 Te
0.257 0.746 0.746 Te
0.743 0.254 0.254 Te
0.746 0.257 0.746 Te
0.746 0.746 0.257 Te
0.748 0.748 0.748 Te
```

Most intense lines, 2θ = 10–80°, by angle:
2theta, intensity
12.50, 29.3
24.64, 18.6
25.71, 10.9
29.61, 100.0
32.25, 9.4
42.01, 38.4
42.72, 36.5
52.84, 19.5
61.47, 12.3
69.18, 17.2
70.20, 16.4
77.74, 12.3

***

This entry pairs a crystal structure of Li3ScTl3 with its calculated powder X-ray diffraction pattern. Radiation: λ = 1.5418 Å (Cu Kα). Structure: a cell relaxed with PBE.
Neutral-atom scattering factors, no anomalous dispersion.

Structural model:
```
Li3ScTl3
1.0
4.804 -4.996 0.000
4.804 4.996 0.000
0.000 0.000 6.548
Li Sc Tl
6 2 6
direct
0.178 0.822 0.000 Li
0.252 0.748 0.500 Li
0.253 0.253 0.000 Li
0.747 0.747 0.000 Li
0.748 0.252 0.500 Li
0.822 0.178 0.000 Li
0.210 0.210 0.500 Sc
0.790 0.790 0.500 Sc
0.000 0.500 0.242 Tl
0.000 0.500 0.758 Tl
0.500 0.000 0.242 Tl
0.500 0.000 0.758 Tl
0.500 0.500 0.251 Tl
0.500 0.500 0.749 Tl
```

Most intense lines, 2θ = 10–80°, by angle:
2theta, intensity
12.78, 54.3
18.47, 19.6
25.73, 95.0
27.24, 39.8
30.20, 19.5
35.95, 29.0
37.44, 24.8
37.82, 100.0
45.68, 21.5
46.91, 20.3
60.49, 20.0
65.85, 19.5

***

This entry pairs a crystal structure of Li2TmSc2Tl2 with its calculated powder X-ray diffraction pattern. Radiation: λ = 1.5418 Å (Cu Kα). Structure: a cell relaxed with PBE.
Neutral-atom scattering factors, no anomalous dispersion.

Structural model:
```
Li2TmSc2Tl2
1.0
2.350 1.357 8.455
-2.350 1.357 8.455
0.000 -2.713 8.455
Li Tm Sc Tl
2 1 2 2
direct
0.090 0.090 0.090 Li
0.910 0.910 0.910 Li
0.500 0.500 0.500 Tm
0.369 0.369 0.369 Sc
0.631 0.631 0.631 Sc
0.243 0.243 0.243 Tl
0.757 0.757 0.757 Tl
```

Most intense lines, 2θ = 10–80°, by angle:
2theta, intensity
10.46, 27.2
22.12, 29.2
22.95, 33.7
26.02, 100.0
33.10, 36.8
35.90, 79.7
38.31, 76.2
46.89, 21.5
53.51, 25.4
58.76, 19.4
62.09, 19.1
67.70, 25.0

***

This entry pairs a crystal structure of LiScZn17 with its calculated powder X-ray diffraction pattern. Radiation: λ = 1.5418 Å (Cu Kα). Structure: a cell relaxed with PBE.
Neutral-atom scattering factors, no anomalous dispersion.

Structural model:
```
LiScZn17
1.0
4.442 2.564 4.372
-4.442 2.564 4.372
0.000 -5.129 4.372
Li Sc Zn
1 1 17
direct
0.000 0.000 0.000 Li
0.309 0.309 0.309 Sc
0.145 0.638 0.638 Zn
0.292 0.292 0.804 Zn
0.292 0.804 0.292 Zn
0.335 0.645 0.947 Zn
0.335 0.947 0.645 Zn
0.478 0.996 0.996 Zn
0.543 0.543 0.543 Zn
0.638 0.145 0.638 Zn
0.638 0.638 0.145 Zn
0.645 0.335 0.947 Zn
0.645 0.947 0.335 Zn
0.748 0.748 0.748 Zn
0.804 0.292 0.292 Zn
0.947 0.335 0.645 Zn
0.947 0.645 0.335 Zn
0.996 0.478 0.996 Zn
0.996 0.996 0.478 Zn
```

Most intense lines, 2θ = 10–80°, by angle:
2theta, intensity
13.34, 20.7
19.99, 33.9
34.99, 22.0
35.99, 17.4
40.63, 42.7
40.79, 75.7
41.30, 30.9
41.67, 16.8
45.83, 100.0
46.29, 30.6
73.92, 20.0
74.95, 17.0

***

This entry pairs a crystal structure of LiScZn6 with its calculated powder X-ray diffraction pattern. Radiation: λ = 1.5418 Å (Cu Kα). Structure: a cell relaxed with PBE.
Neutral-atom scattering factors, no anomalous dispersion.

Structural model:
```
LiScZn6
1.0
4.288 0.000 0.000
0.000 6.698 0.000
0.000 0.000 4.288
Li Sc Zn
1 1 6
direct
0.000 0.000 0.000 Li
0.500 0.500 0.502 Sc
0.000 0.229 0.500 Zn
0.000 0.500 0.001 Zn
0.000 0.771 0.500 Zn
0.500 0.000 0.502 Zn
0.500 0.229 0.002 Zn
0.500 0.771 0.002 Zn
```

Most intense lines, 2θ = 10–80°, by angle:
2theta, intensity
24.65, 14.1
29.46, 4.5
32.41, 4.9
40.12, 100.0
42.15, 45.1
45.82, 2.7
49.44, 4.4
54.82, 8.5
59.80, 2.8
61.13, 14.0
71.49, 14.4
75.66, 27.5